MgCo2Ni4O8: theoretical PXRD pattern (Cu Kα (λ = 1.5418 Å)), based on the PBE+U geometry in the Materials Project.
Lines closer than 0.1° are merged.

Most intense lines, 10° ≤ 2θ ≤ 90°, by angle:
2θ 17.45, 5.083 Å, intensity 42
2θ 28.62, 3.119 Å, intensity 66
2θ 28.79, 3.101 Å, intensity 32
2θ 33.57, 2.670 Å, intensity 50
2θ 33.86, 2.647 Å, intensity 100
2θ 50.91, 1.794 Å, intensity 27
2θ 54.13, 1.694 Å, intensity 21
2θ 59.20, 1.561 Å, intensity 30
2θ 59.30, 1.558 Å, intensity 30
2θ 59.64, 1.550 Å, intensity 30

Crystal structure
```
MgCo2Ni4O8
1.0
0.0000 4.3920 4.4372
4.3782 0.0000 4.4372
4.3782 4.3920 0.0000
Mg Co Ni O
1 2 4 8
direct
0.0000 0.0000 0.0000
0.5000 0.5000 0.5000
0.7500 0.7500 0.7500
0.1418 0.5676 0.1457
0.1449 0.1457 0.5676
0.1457 0.1449 0.1418
0.5676 0.1418 0.1449
0.3715 0.3709 0.3724
0.3709 0.3715 0.8852
0.3718 0.8765 0.8764
0.3724 0.8852 0.3715
0.8752 0.8764 0.8765
0.8764 0.8752 0.3718
0.8765 0.3718 0.8752
0.8852 0.3724 0.3709
```

V3P2O8: theoretical PXRD pattern (Cu Kα (λ = 1.5418 Å)), based on the PBE+U geometry in the Materials Project.
Lines closer than 0.1° are merged.

Most intense lines, 10° ≤ 2θ ≤ 90°, by angle:
2θ 22.75, 3.909 Å, intensity 30
2θ 27.22, 3.276 Å, intensity 99
2θ 27.84, 3.205 Å, intensity 100
2θ 28.40, 3.143 Å, intensity 27
2θ 28.51, 3.131 Å, intensity 29
2θ 29.35, 3.043 Å, intensity 22
2θ 29.79, 2.999 Å, intensity 38
2θ 29.95, 2.983 Å, intensity 60
2θ 35.96, 2.498 Å, intensity 25
2θ 48.03, 1.894 Å, intensity 22

Crystal structure
```
V3P2O8
1.0
8.3154 0.0000 0.0000
0.0000 9.7422 0.0000
-2.9669 0.0000 8.1725
V P O
12 8 32
direct
0.0003 0.1272 0.1278
0.0003 0.3728 0.6278
0.9997 0.6272 0.3722
0.9997 0.8728 0.8722
0.3044 0.6072 0.0841
0.3044 0.8928 0.5841
0.4088 0.2406 0.0166
0.4088 0.2594 0.5166
0.5912 0.7406 0.4834
0.5912 0.7594 0.9834
0.6956 0.1072 0.4159
0.6956 0.3928 0.9159
0.1286 0.1105 0.6742
0.1286 0.3895 0.1742
0.3523 0.5643 0.6914
0.3523 0.9357 0.1914
0.6477 0.0643 0.8086
0.6477 0.4357 0.3086
0.8714 0.6105 0.8258
0.8714 0.8895 0.3258
0.0554 0.6595 0.9255
0.0554 0.8405 0.4255
0.1420 0.5373 0.2412
0.1420 0.9627 0.7412
0.1582 0.5361 0.6011
0.1582 0.9639 0.1011
0.1877 0.2252 0.8061
0.1877 0.2748 0.3061
0.2482 0.1087 0.5701
0.2482 0.3913 0.0701
0.3833 0.6193 0.8669
0.3833 0.8807 0.3669
0.4059 0.6788 0.5945
0.4059 0.8212 0.0945
0.4552 0.0719 0.2017
0.4552 0.4281 0.7017
0.5448 0.5719 0.2983
0.5448 0.9281 0.7983
0.5941 0.1788 0.9055
0.5941 0.3212 0.4055
0.6167 0.1193 0.6331
0.6167 0.3807 0.1331
0.7518 0.6087 0.9299
0.7518 0.8913 0.4299
0.8123 0.7252 0.6939
0.8123 0.7748 0.1939
0.8418 0.0361 0.8989
0.8418 0.4639 0.3989
0.8580 0.0373 0.2588
0.8580 0.4627 0.7588
0.9446 0.1595 0.5745
0.9446 0.3405 0.0745
```

CaV2O4: theoretical PXRD pattern (Cu Kα (λ = 1.5418 Å)), based on the PBE+U geometry in the Materials Project.
Lines closer than 0.1° are merged.

Most intense lines, 10° ≤ 2θ ≤ 90°, by angle:
2θ 33.07, 2.709 Å, intensity 53
2θ 33.37, 2.685 Å, intensity 100
2θ 34.79, 2.578 Å, intensity 100
2θ 39.56, 2.278 Å, intensity 43
2θ 42.15, 2.144 Å, intensity 24
2θ 48.81, 1.866 Å, intensity 42
2θ 49.10, 1.856 Å, intensity 26
2θ 59.79, 1.547 Å, intensity 39
2θ 60.47, 1.531 Å, intensity 27
2θ 70.22, 1.340 Å, intensity 26

Crystal structure
```
CaV2O4
1.0
9.2760 0.0000 0.0000
0.0000 3.0939 0.0000
0.0000 0.0000 10.8365
Ca V O
4 8 16
direct
0.2438 0.2500 0.1526
0.2562 0.7500 0.6526
0.7438 0.2500 0.3474
0.7562 0.7500 0.8474
0.0654 0.2500 0.3872
0.0824 0.2500 0.8947
0.4176 0.7500 0.3947
0.4346 0.7500 0.8872
0.5654 0.2500 0.1128
0.5824 0.2500 0.6053
0.9176 0.7500 0.1053
0.9346 0.7500 0.6128
0.0252 0.7500 0.7825
0.0810 0.2500 0.5723
0.1175 0.7500 0.0249
0.2073 0.7500 0.3341
0.2927 0.2500 0.8341
0.3825 0.2500 0.5249
0.4190 0.7500 0.0723
0.4748 0.2500 0.2825
0.5252 0.7500 0.7175
0.5810 0.2500 0.9277
0.6175 0.7500 0.4751
0.7073 0.7500 0.1659
0.7927 0.2500 0.6659
0.8825 0.2500 0.9751
0.9190 0.7500 0.4277
0.9748 0.2500 0.2175
```

ZnCo2O5: theoretical PXRD pattern (Cu Kα (λ = 1.5418 Å)), based on the PBE+U geometry in the Materials Project.
Lines closer than 0.1° are merged.

Most intense lines, 10° ≤ 2θ ≤ 90°, by angle:
2θ 17.54, 5.055 Å, intensity 94
2θ 23.47, 3.791 Å, intensity 37
2θ 26.41, 3.375 Å, intensity 98
2θ 29.30, 3.048 Å, intensity 100
2θ 35.49, 2.529 Å, intensity 79
2θ 37.48, 2.400 Å, intensity 47
2θ 51.02, 1.790 Å, intensity 36
2θ 54.52, 1.683 Å, intensity 28
2θ 59.94, 1.543 Å, intensity 28
2θ 61.85, 1.500 Å, intensity 39

Crystal structure
```
ZnCo2O5
1.0
1.7902 -5.0552 0.0000
1.7902 5.0552 0.0000
0.0000 0.0000 11.4599
Zn Co O
2 4 10
direct
0.0977 0.9023 0.7500
0.9023 0.0977 0.2500
0.2076 0.7924 0.0994
0.2076 0.7924 0.4006
0.7924 0.2076 0.5994
0.7924 0.2076 0.9006
0.0438 0.9562 0.1304
0.0438 0.9562 0.3696
0.2336 0.7664 0.5773
0.2336 0.7664 0.9227
0.3004 0.6996 0.2500
0.6996 0.3004 0.7500
0.7664 0.2336 0.0773
0.7664 0.2336 0.4227
0.9562 0.0438 0.6304
0.9562 0.0438 0.8696
```

Sr2CrReO6: theoretical PXRD pattern (Cu Kα (λ = 1.5418 Å)), based on the PBE+U geometry in the Materials Project.
Lines closer than 0.1° are merged.

Most intense lines, 10° ≤ 2θ ≤ 90°, by angle:
2θ 19.39, 4.579 Å, intensity 26
2θ 22.42, 3.965 Å, intensity 8
2θ 31.92, 2.804 Å, intensity 100
2θ 37.62, 2.391 Å, intensity 15
2θ 45.77, 1.983 Å, intensity 32
2θ 50.14, 1.819 Å, intensity 7
2θ 56.88, 1.619 Å, intensity 39
2θ 66.72, 1.402 Å, intensity 19
2θ 75.88, 1.254 Å, intensity 17
2θ 84.68, 1.145 Å, intensity 7

Crystal structure
```
Sr2CrReO6
1.0
0.0000 3.9651 3.9651
3.9651 0.0000 3.9651
3.9651 3.9651 0.0000
Sr Cr Re O
2 1 1 6
direct
0.2500 0.2500 0.2500
0.7500 0.7500 0.7500
0.0000 0.0000 0.0000
0.5000 0.5000 0.5000
0.2514 0.2514 0.7486
0.2514 0.7486 0.2514
0.2514 0.7486 0.7486
0.7486 0.2514 0.2514
0.7486 0.2514 0.7486
0.7486 0.7486 0.2514
```

CsCoNiF6: theoretical PXRD pattern (Cu Kα (λ = 1.5418 Å)), based on the PBE+U geometry in the Materials Project.
Lines closer than 0.1° are merged.

Most intense lines, 10° ≤ 2θ ≤ 90°, by angle:
2θ 24.17, 3.682 Å, intensity 41
2θ 28.36, 3.148 Å, intensity 100
2θ 28.48, 3.134 Å, intensity 49
2θ 29.63, 3.015 Å, intensity 14
2θ 29.75, 3.003 Å, intensity 14
2θ 45.09, 2.011 Å, intensity 21
2θ 45.32, 2.001 Å, intensity 18
2θ 49.51, 1.841 Å, intensity 46
2θ 55.72, 1.650 Å, intensity 10
2θ 58.09, 1.588 Å, intensity 11

Crystal structure
```
CsCoNiF6
1.0
-3.6819 3.7032 5.1916
3.6819 -3.7032 5.1916
3.6819 3.7032 -5.1916
Cs Co Ni F
2 2 2 12
direct
0.3721 0.1221 0.2500
0.6279 0.8779 0.7500
0.0000 0.5000 0.5000
0.5000 0.5000 0.0000
0.0000 0.0000 0.5000
0.0000 0.5000 0.0000
0.0711 0.4311 0.2615
0.0711 0.8095 0.6399
0.0730 0.8230 0.2500
0.3185 0.5685 0.7500
0.3304 0.1905 0.7615
0.3304 0.5689 0.1399
0.6696 0.4311 0.8601
0.6696 0.8095 0.2385
0.6815 0.4315 0.2500
0.9270 0.1770 0.7500
0.9289 0.1905 0.3601
0.9289 0.5689 0.7385
```

Mn3O2F4: theoretical PXRD pattern (Cu Kα (λ = 1.5418 Å)), based on the PBE+U geometry in the Materials Project.
Lines closer than 0.1° are merged.

Most intense lines, 10° ≤ 2θ ≤ 90°, by angle:
2θ 25.75, 3.460 Å, intensity 100
2θ 26.93, 3.311 Å, intensity 93
2θ 33.37, 2.685 Å, intensity 29
2θ 33.75, 2.655 Å, intensity 53
2θ 34.00, 2.637 Å, intensity 22
2θ 50.22, 1.817 Å, intensity 17
2θ 50.96, 1.792 Å, intensity 17
2θ 52.42, 1.745 Å, intensity 27
2θ 52.93, 1.730 Å, intensity 19
2θ 57.67, 1.598 Å, intensity 20

Crystal structure
```
Mn3O2F4
1.0
4.8054 0.0000 0.0000
0.1472 5.7474 0.0000
0.3338 0.3944 7.9573
Mn O F
6 4 8
direct
0.0000 0.0000 0.0000
0.0071 0.3256 0.6686
0.0721 0.6614 0.3261
0.4775 0.1623 0.3407
0.5027 0.8225 0.6479
0.5182 0.4979 0.9973
0.2045 0.7117 0.0941
0.2051 0.3582 0.4458
0.3165 0.8744 0.4280
0.8196 0.2905 0.8933
0.2110 0.0230 0.7678
0.3081 0.2054 0.0953
0.3096 0.5225 0.7627
0.6928 0.4482 0.2415
0.7062 0.7914 0.8810
0.7169 0.1322 0.5705
0.7902 0.9713 0.2319
0.8311 0.6344 0.5511
```

V2P3O12: theoretical PXRD pattern (Cu Kα (λ = 1.5418 Å)), based on the PBE+U geometry in the Materials Project.
Lines closer than 0.1° are merged.

Most intense lines, 10° ≤ 2θ ≤ 90°, by angle:
2θ 12.20, 7.253 Å, intensity 71
2θ 15.45, 5.737 Å, intensity 27
2θ 19.26, 4.609 Å, intensity 25
2θ 19.77, 4.490 Å, intensity 15
2θ 25.10, 3.548 Å, intensity 16
2θ 26.59, 3.352 Å, intensity 17
2θ 29.37, 3.041 Å, intensity 100
2θ 29.68, 3.010 Å, intensity 24
2θ 30.67, 2.915 Å, intensity 36
2θ 44.29, 2.045 Å, intensity 11

Crystal structure
```
V2P3O12
1.0
6.2349 0.0000 0.0000
-1.7757 7.9540 0.0000
-2.3847 -3.7445 8.3177
V P O
4 6 24
direct
0.0556 0.2140 0.0194
0.3615 0.9560 0.6151
0.6385 0.0440 0.3849
0.9444 0.7860 0.9806
0.1330 0.1285 0.3447
0.2198 0.6678 0.2537
0.3850 0.7229 0.8516
0.6150 0.2771 0.1484
0.7802 0.3322 0.7463
0.8670 0.8715 0.6553
0.0197 0.7055 0.1497
0.0820 0.0490 0.1562
0.0967 0.9898 0.6397
0.1751 0.3277 0.4146
0.1984 0.4670 0.1856
0.2217 0.7329 0.4312
0.2387 0.8000 0.9531
0.2900 0.5249 0.7467
0.3276 0.0557 0.4233
0.3561 0.2098 0.0269
0.4132 0.8548 0.7543
0.4599 0.7926 0.2616
0.5401 0.2074 0.7384
0.5868 0.1452 0.2457
0.6439 0.7902 0.9731
0.6724 0.9443 0.5767
0.7100 0.4751 0.2533
0.7613 0.2000 0.0469
0.7783 0.2671 0.5688
0.8016 0.5330 0.8144
0.8249 0.6723 0.5854
0.9033 0.0102 0.3603
0.9180 0.9510 0.8438
0.9803 0.2945 0.8503
```

Copy entry 8 word for word.
V2P3O12: theoretical PXRD pattern (Cu Kα (λ = 1.5418 Å)), based on the PBE+U geometry in the Materials Project.
Lines closer than 0.1° are merged.

Most intense lines, 10° ≤ 2θ ≤ 90°, by angle:
2θ 12.20, 7.253 Å, intensity 71
2θ 15.45, 5.737 Å, intensity 27
2θ 19.26, 4.609 Å, intensity 25
2θ 19.77, 4.490 Å, intensity 15
2θ 25.10, 3.548 Å, intensity 16
2θ 26.59, 3.352 Å, intensity 17
2θ 29.37, 3.041 Å, intensity 100
2θ 29.68, 3.010 Å, intensity 24
2θ 30.67, 2.915 Å, intensity 36
2θ 44.29, 2.045 Å, intensity 11

Crystal structure
```
V2P3O12
1.0
6.2349 0.0000 0.0000
-1.7757 7.9540 0.0000
-2.3847 -3.7445 8.3177
V P O
4 6 24
direct
0.0556 0.2140 0.0194
0.3615 0.9560 0.6151
0.6385 0.0440 0.3849
0.9444 0.7860 0.9806
0.1330 0.1285 0.3447
0.2198 0.6678 0.2537
0.3850 0.7229 0.8516
0.6150 0.2771 0.1484
0.7802 0.3322 0.7463
0.8670 0.8715 0.6553
0.0197 0.7055 0.1497
0.0820 0.0490 0.1562
0.0967 0.9898 0.6397
0.1751 0.3277 0.4146
0.1984 0.4670 0.1856
0.2217 0.7329 0.4312
0.2387 0.8000 0.9531
0.2900 0.5249 0.7467
0.3276 0.0557 0.4233
0.3561 0.2098 0.0269
0.4132 0.8548 0.7543
0.4599 0.7926 0.2616
0.5401 0.2074 0.7384
0.5868 0.1452 0.2457
0.6439 0.7902 0.9731
0.6724 0.9443 0.5767
0.7100 0.4751 0.2533
0.7613 0.2000 0.0469
0.7783 0.2671 0.5688
0.8016 0.5330 0.8144
0.8249 0.6723 0.5854
0.9033 0.0102 0.3603
0.9180 0.9510 0.8438
0.9803 0.2945 0.8503
```